1.
Starting from a GGA-PBE-relaxed structure, the powder diffraction line list of Zn5Cl3 was simulated for Cu Kα.
Kinematic intensities with the Lorentz-polarization factor, no thermal factor.

The 12 most intense peaks (2θ from 10° to 90°), sorted by position:
2theta  I_rel
10.5  84
18.2  90
27.9  81
31.7  46
34.2  95
38.4  47
40.9  64
41.9  100
43.3  27
43.7  29
55.0  52
66.3  32

Crystal structure
Cell lengths 9.7693, 9.7693, 4.5685 Å; angles 90.00, 90.00, 120.00 degrees
Space group P6_3/mcm (No. 193)
Inequivalent atoms, fractional coordinates:
Zn: 0.0000 0.1651 0.2500 (multiplicity 6)
Zn: 0.3333 0.6667 0.0000 (multiplicity 4)
Cl: 0.0000 0.3520 0.7500 (multiplicity 6)

2.
Starting from a GGA-PBE-relaxed structure, the powder diffraction line list of TaFeN was simulated for Cu Kα.
Kinematic intensities with the Lorentz-polarization factor, no thermal factor.

The 12 most intense peaks (2θ from 10° to 90°), sorted by position:
2theta  I_rel
23.2  31
29.5  21
37.9  100
42.2  46
47.4  16
48.7  17
56.8  8
61.2  15
65.3  24
74.3  29
80.9  13
81.8  11

Crystal structure
Cell lengths 3.028, 3.028, 3.834 Å; angles 90.00, 90.00, 90.00 degrees
Space group P4/mmm (No. 123)
Inequivalent atoms, fractional coordinates:
Ta: 0.000 0.000 0.000 (multiplicity 1)
Fe: 0.500 0.500 0.500 (multiplicity 1)
N: 0.500 0.500 0.000 (multiplicity 1)

3.
Starting from a GGA-PBE-relaxed structure, the powder diffraction line list of KTaCu2F8 was simulated for Cu Kα.
Kinematic intensities with the Lorentz-polarization factor, no thermal factor.

The 12 most intense peaks (2θ from 10° to 90°), sorted by position:
2theta  I_rel
10.2  30
20.8  54
24.7  100
26.8  37
34.6  27
35.9  44
41.8  15
44.1  14
48.2  26
50.7  13
56.3  22
58.2  17

Crystal structure
Cell lengths 4.9978, 4.9978, 25.8917 Å; angles 90.00, 90.00, 120.00 degrees
Space group R32 (No. 155, hexagonal axes)
Inequivalent atoms, fractional coordinates:
K: 0.0000 0.0000 0.0000 (multiplicity 3)
Ta: 0.0000 0.0000 0.5000 (multiplicity 3)
Cu: 0.0000 0.0000 0.2719 (multiplicity 6)
F: 0.0000 0.0000 0.3433 (multiplicity 6)
F: 0.0124 0.3866 0.1196 (multiplicity 18)